(1)
Starting from a cell relaxed with PBE, the powder XRD pattern of YGaGe2 was calculated for CuKα.

Cell and atoms:
```
data_YGaGe2
_cell_length_a 4.5086
_cell_length_b 4.5086
_cell_length_c 14.4905
_cell_angle_alpha 90.00
_cell_angle_beta 90.00
_cell_angle_gamma 120.00
_space_group_name_H-M_alt 'R -3 m'
_space_group_IT_number 166
_space_group_name_Hall '-R 3 2"'
loop_
_atom_site_label
_atom_site_fract_x
_atom_site_fract_y
_atom_site_fract_z
Y1 0.0000 0.0000 0.0000
Ga1 0.0000 0.0000 0.5000
Ge1 0.0000 0.0000 0.2165
```

Peak list (10 most intense, 10 to 80 degrees two-theta, sorted by position)
(0 0 3), 18.37 deg, d 4.830, I 11; (1 0 1), 23.60 deg, d 3.770, I 9; (1 0 4), 33.75 deg, d 2.656, I 100; (0 1 5), 38.69 deg, d 2.327, I 21; (1 1 0), 39.99 deg, d 2.254, I 88; (0 2 4), 53.30 deg, d 1.719, I 26; (1 1 6), 55.78 deg, d 1.648, I 9; (2 1 4), 68.67 deg, d 1.367, I 24; (1 0 10), 69.15 deg, d 1.359, I 10; (3 0 0), 72.64 deg, d 1.302, I 14



(2)
Starting from a cell relaxed with PBE, the powder XRD pattern of HoTh2FeC2 was calculated for CuKα.

Cell and atoms:
```
data_HoTh2FeC2
_cell_length_a 5.721
_cell_length_b 11.072
_cell_length_c 3.716
_cell_angle_alpha 90.00
_cell_angle_beta 90.00
_cell_angle_gamma 90.00
_space_group_name_H-M_alt 'P n n m'
_space_group_IT_number 58
loop_
_space_group_symop_operation_xyz
'x,y,z'
'-x,-y,-z'
'-x,-y,z'
'x,y,-z'
'x+1/2,-y+1/2,-z+1/2'
'-x+1/2,y+1/2,z+1/2'
'-x+1/2,y+1/2,-z+1/2'
'x+1/2,-y+1/2,z+1/2'
loop_
_atom_site_label
_atom_site_fract_x
_atom_site_fract_y
_atom_site_fract_z
Ho1 0.000 0.000 0.000
Th1 0.029 0.295 0.500
Fe1 0.000 0.500 0.000
C1 0.236 0.892 0.500
```

Peak list (10 most intense, 10 to 80 degrees two-theta, sorted by position)
(0 1 1), 25.28 deg, d 3.523, I 12; (1 3 0), 28.79 deg, d 3.101, I 37; (2 0 0), 31.27 deg, d 2.861, I 31; (0 4 0), 32.34 deg, d 2.768, I 15; (1 2 1), 32.99 deg, d 2.715, I 100; (0 5 1), 47.82 deg, d 1.902, I 16; (0 0 2), 49.03 deg, d 1.858, I 11; (3 2 1), 56.75 deg, d 1.622, I 18; (1 3 2), 57.86 deg, d 1.594, I 11; (2 5 1), 58.25 deg, d 1.584, I 15



(3)
Starting from a cell relaxed with PBE, the powder XRD pattern of TmNpPaO6 was calculated for CuKα.

Cell and atoms:
```
data_TmNpPaO6
_cell_length_a 5.7073
_cell_length_b 5.7073
_cell_length_c 9.5174
_cell_angle_alpha 90.00
_cell_angle_beta 90.00
_cell_angle_gamma 120.00
_space_group_name_H-M_alt 'P -3 1 c'
_space_group_IT_number 163
_space_group_name_Hall '-P 3 2c'
loop_
_atom_site_label
_atom_site_fract_x
_atom_site_fract_y
_atom_site_fract_z
Tm1 0.3333 0.6667 0.2500
Np1 0.3333 0.6667 0.7500
Pa1 0.0000 0.0000 0.0000
O1 0.0027 0.3266 0.6290
```

Peak list (10 most intense, 10 to 80 degrees two-theta, sorted by position)
(1 0 2), 25.99 deg, d 3.428, I 100; (1 1 0), 31.35 deg, d 2.854, I 57; (0 0 4), 37.81 deg, d 2.379, I 10; (2 0 2), 41.16 deg, d 2.193, I 30; (1 1 4), 49.90 deg, d 1.827, I 43; (3 -1 2), 52.63 deg, d 1.739, I 30; (3 0 0), 55.80 deg, d 1.648, I 17; (3 0 4), 69.38 deg, d 1.355, I 11; (3 1 2), 71.64 deg, d 1.317, I 12; (4 -2 4), 78.10 deg, d 1.224, I 12



(4)
Starting from a cell relaxed with PBE, the powder XRD pattern of Si2SnRhN was calculated for CuKα.

Cell and atoms:
```
data_Si2SnRhN
_cell_length_a 2.938
_cell_length_b 3.185
_cell_length_c 8.287
_cell_angle_alpha 90.00
_cell_angle_beta 90.00
_cell_angle_gamma 90.00
_space_group_name_H-M_alt 'P m m 2'
_space_group_IT_number 25
loop_
_space_group_symop_operation_xyz
'x,y,z'
'-x,-y,z'
'-x,y,z'
'x,-y,z'
loop_
_atom_site_label
_atom_site_fract_x
_atom_site_fract_y
_atom_site_fract_z
Si1 0.000 0.000 0.000
Si2 0.000 0.500 0.227
Sn1 0.500 0.000 0.572
Rh1 0.500 0.500 0.867
N1 0.500 0.500 0.342
```

Peak list (10 most intense, 10 to 80 degrees two-theta, sorted by position)
(0 0 1), 10.68 deg, d 8.287, I 97; (0 1 1), 30.06 deg, d 2.973, I 50; (1 0 0), 30.43 deg, d 2.938, I 38; (0 0 3), 32.37 deg, d 2.766, I 100; (0 1 2), 35.55 deg, d 2.525, I 94; (1 1 1), 43.30 deg, d 2.089, I 77; (1 0 3), 45.05 deg, d 2.012, I 28; (1 1 2), 47.48 deg, d 1.915, I 65; (2 0 0), 63.28 deg, d 1.470, I 28; (0 2 3), 67.91 deg, d 1.380, I 28